Structure and theoretical X-ray diffraction stick pattern of Sr3MnAs2O8 (a crystal structure in Alexandria, relaxed with GGA+U; Cu Kα, 1.54184 Å).
Kinematic intensities with the Lorentz-polarization factor, no thermal factor.

Most intense lines, 5 to 70 degrees two-theta, by angle:
2theta	Rel. int.	h k l
30.2	699	0 1 2
31.0	1000	1 1 0
41.1	152	1 0 3
43.8	442	2 0 2
53.2	125	1 0 4
54.7	269	1 2 2
55.2	189	3 0 0
64.6	172	2 2 0

Cell: 5.7676 5.7676 7.3424 Å, 90.00 90.00 120.00°
Space group P-3m1 (No. 164)
Unique sites:
Sr: 0.0000 0.0000 0.0000 [1 per cell]
Sr: 0.3333 0.6667 0.6358 [2 per cell]
Mn: 0.0000 0.0000 0.5000 [1 per cell]
As: 0.3333 0.6667 0.2000 [2 per cell]
O: 0.1681 0.3361 0.3190 [6 per cell]
O: 0.3333 0.6667 0.9522 [2 per cell]